Y5Cu3: simulated X-ray diffraction stick pattern (Cu Ka), based on a cell relaxed with PBE.

Principal peaks in the range 10° ≤ 2θ ≤ 80°, in order of rising 2θ:
| 2theta | I_rel |
| --- | --- |
| 28.01 | 9 |
| 34.21 | 100 |
| 36.47 | 55 |
| 42.85 | 12 |
| 52.53 | 18 |
| 59.75 | 8 |
| 64.19 | 30 |
| 70.43 | 9 |

Atomic structure:
```
data_Y5Cu3
_chemical_formula_sum 'Y5 Cu3'
_cell_length_a 3.4841
_cell_length_b 3.4841
_cell_length_c 15.9154
_cell_angle_alpha 90.00
_cell_angle_beta 90.00
_cell_angle_gamma 90.00
_space_group_name_H-M_alt 'P 1'
_space_group_IT_number 1
_space_group_name_Hall 'P 1'
loop_
_atom_site_label
_atom_site_fract_x
_atom_site_fract_y
_atom_site_fract_z
Y1 0.0000 0.0000 0.0000
Y2 0.0000 0.0000 0.2178
Y3 0.0000 0.0000 0.7822
Y4 0.5000 0.5000 0.3914
Y5 0.5000 0.5000 0.6086
Cu1 0.0000 0.0000 0.5000
Cu2 0.5000 0.5000 0.1093
Cu3 0.5000 0.5000 0.8907
```

Ho4Th2Sc3: simulated X-ray diffraction stick pattern (Cu Ka), based on a cell relaxed with PBE.

Principal peaks in the range 10° ≤ 2θ ≤ 80°, in order of rising 2θ:
| 2theta | I_rel |
| --- | --- |
| 19.33 | 27 |
| 31.66 | 96 |
| 31.80 | 100 |
| 36.58 | 33 |
| 36.92 | 64 |
| 52.97 | 23 |
| 53.17 | 34 |
| 63.34 | 40 |

Atomic structure:
```
data_Ho4Th2Sc3
_chemical_formula_sum 'Ho4 Th2 Sc3'
_cell_length_a 7.7049
_cell_length_b 7.7049
_cell_length_c 7.7765
_cell_angle_alpha 107.64
_cell_angle_beta 107.64
_cell_angle_gamma 36.82
_space_group_name_H-M_alt 'P 1'
_space_group_IT_number 1
_space_group_name_Hall 'P 1'
loop_
_atom_site_label
_atom_site_fract_x
_atom_site_fract_y
_atom_site_fract_z
Ho1 0.0533 0.0533 0.3345
Ho2 0.2771 0.2771 0.6706
Ho3 0.7229 0.7229 0.3294
Ho4 0.9467 0.9467 0.6655
Th1 0.1651 0.1651 0.0005
Th2 0.8349 0.8349 0.9995
Sc1 0.3890 0.3890 0.3214
Sc2 0.5000 0.5000 0.0000
Sc3 0.6110 0.6110 0.6786
```

GaAgGe: simulated X-ray diffraction stick pattern (Cu Ka), based on a cell relaxed with PBE.

Principal peaks in the range 10° ≤ 2θ ≤ 80°, in order of rising 2θ:
| 2theta | I_rel |
| --- | --- |
| 32.86 | 2 |
| 37.25 | 100 |
| 41.37 | 37 |
| 46.91 | 13 |
| 59.94 | 12 |
| 64.30 | 19 |
| 72.72 | 26 |
| 79.39 | 10 |

Atomic structure:
```
data_GaAgGe
_chemical_formula_sum 'Ga4 Ag4 Ge4'
_cell_length_a 4.3684
_cell_length_b 4.3621
_cell_length_c 11.6206
_cell_angle_alpha 90.00
_cell_angle_beta 90.00
_cell_angle_gamma 90.00
_space_group_name_H-M_alt 'P 1'
_space_group_IT_number 1
_space_group_name_Hall 'P 1'
loop_
_atom_site_label
_atom_site_fract_x
_atom_site_fract_y
_atom_site_fract_z
Ga1 0.0000 0.0000 0.0000
Ga2 0.9999 0.0000 0.3369
Ga3 0.5000 0.5000 0.0000
Ga4 0.4999 0.5000 0.3369
Ag1 0.0005 0.0000 0.6687
Ag2 0.0005 0.5000 0.8397
Ag3 0.5005 0.0000 0.8397
Ag4 0.5005 0.5000 0.6687
Ge1 0.0004 0.5000 0.5074
Ge2 0.4994 0.0000 0.1618
Ge3 0.5004 0.0000 0.5074
Ge4 0.9994 0.5000 0.1618
```

Cs2MgNbS4: simulated X-ray diffraction stick pattern (Cu Ka), based on a cell relaxed with PBE.

Principal peaks in the range 10° ≤ 2θ ≤ 80°, in order of rising 2θ:
| 2theta | I_rel |
| --- | --- |
| 18.93 | 79 |
| 24.42 | 73 |
| 24.57 | 24 |
| 25.76 | 100 |
| 29.43 | 25 |
| 31.73 | 33 |
| 36.26 | 35 |
| 44.29 | 27 |

Atomic structure:
```
data_Cs2MgNbS4
_chemical_formula_sum 'Cs4 Mg2 Nb2 S8'
_cell_length_a 14.5796
_cell_length_b 13.0166
_cell_length_c 7.8662
_cell_angle_alpha 84.75
_cell_angle_beta 62.75
_cell_angle_gamma 32.50
_space_group_name_H-M_alt 'P 1'
_space_group_IT_number 1
_space_group_name_Hall 'P 1'
loop_
_atom_site_label
_atom_site_fract_x
_atom_site_fract_y
_atom_site_fract_z
Cs1 0.0516 0.0516 0.6984
Cs2 0.3016 0.3016 0.9484
Cs3 0.6984 0.6984 0.0516
Cs4 0.9484 0.9484 0.3016
Mg1 0.1250 0.1250 0.1250
Mg2 0.8750 0.8750 0.8750
Nb1 0.3750 0.3750 0.3750
Nb2 0.6250 0.6250 0.6250
S1 0.0058 0.3451 0.4302
S2 0.2811 0.5698 0.6549
S3 0.3451 0.0058 0.7189
S4 0.4302 0.7189 0.0058
S5 0.5698 0.2811 0.9942
S6 0.6549 0.9942 0.2811
S7 0.7189 0.4302 0.3451
S8 0.9942 0.6549 0.5698
```

Ba3PmGe4: simulated X-ray diffraction stick pattern (Cu Ka), based on a cell relaxed with PBE.

Principal peaks in the range 10° ≤ 2θ ≤ 80°, in order of rising 2θ:
| 2theta | I_rel |
| --- | --- |
| 24.49 | 100 |
| 28.56 | 22 |
| 30.17 | 38 |
| 30.99 | 29 |
| 33.71 | 25 |
| 35.86 | 24 |
| 36.06 | 30 |
| 62.13 | 23 |

Atomic structure:
```
data_Ba3PmGe4
_chemical_formula_sum 'Ba6 Pm2 Ge8'
_cell_length_a 4.9812
_cell_length_b 6.6511
_cell_length_c 17.7031
_cell_angle_alpha 90.00
_cell_angle_beta 90.00
_cell_angle_gamma 90.00
_space_group_name_H-M_alt 'P 1'
_space_group_IT_number 1
_space_group_name_Hall 'P 1'
loop_
_atom_site_label
_atom_site_fract_x
_atom_site_fract_y
_atom_site_fract_z
Ba1 0.0000 0.0000 0.0000
Ba2 0.0000 0.5000 0.1919
Ba3 0.0000 0.5000 0.8081
Ba4 0.5000 0.0000 0.3081
Ba5 0.5000 0.0000 0.6919
Ba6 0.5000 0.5000 0.5000
Pm1 0.0000 0.0000 0.5000
Pm2 0.5000 0.5000 0.0000
Ge1 0.0000 0.3187 0.3799
Ge2 0.0000 0.3187 0.6201
Ge3 0.0000 0.6813 0.3799
Ge4 0.0000 0.6813 0.6201
Ge5 0.5000 0.1813 0.1201
Ge6 0.5000 0.1813 0.8799
Ge7 0.5000 0.8187 0.1201
Ge8 0.5000 0.8187 0.8799
```

SrCo4Os: simulated X-ray diffraction stick pattern (Cu Ka), based on a cell relaxed with PBE.

Principal peaks in the range 10° ≤ 2θ ≤ 80°, in order of rising 2θ:
| 2theta | I_rel |
| --- | --- |
| 21.85 | 17 |
| 25.28 | 8 |
| 36.06 | 57 |
| 42.56 | 100 |
| 44.55 | 19 |
| 64.84 | 21 |
| 69.31 | 30 |
| 76.49 | 21 |

Atomic structure:
```
data_SrCo4Os
_chemical_formula_sum 'Sr1 Co4 Os1'
_cell_length_a 4.9814
_cell_length_b 4.9814
_cell_length_c 4.9814
_cell_angle_alpha 60.00
_cell_angle_beta 60.00
_cell_angle_gamma 60.00
_space_group_name_H-M_alt 'P 1'
_space_group_IT_number 1
_space_group_name_Hall 'P 1'
loop_
_atom_site_label
_atom_site_fract_x
_atom_site_fract_y
_atom_site_fract_z
Sr1 0.0000 0.0000 0.0000
Co1 0.1292 0.6236 0.6236
Co2 0.6236 0.1292 0.6236
Co3 0.6236 0.6236 0.1292
Co4 0.6236 0.6236 0.6236
Os1 0.2500 0.2500 0.2500
```